This entry pairs a crystal structure of Cs3HoBr6 with its computed XRD peak list. Radiation: copper Kα. Structure: a DFT-relaxed cell (GGA-PBE, OQMD).
Intensities are scaled so that the largest is 100.

Principal peaks in the range 5° ≤ 2θ ≤ 70°, sorted by position:
two_theta, I (rel.), (hkl)
20.05, 37, 0 2 0
20.74, 93, 1 1 1
20.91, 89, 1 1 -3
24.69, 45, 1 0 2
29.35, 100, 2 2 -2
29.90, 58, 0 0 4
32.97, 66, 1 3 0
36.26, 40, 0 2 4
36.78, 69, 3 1 -1
37.09, 36, 3 1 -5

Atomic structure:
Unit cell a=8.3812 b=8.8555 c=14.5236 alpha=90.00 beta=124.60 gamma=90.00
Space group P2_1/c (No. 14)
Inequivalent atoms, fractional coordinates:
Cs 0.0000 0.0000 0.0000 [2 per cell]
Cs 0.2213 0.0687 0.7466 [4 per cell]
Ho 0.5000 0.0000 0.5000 [2 per cell]
Br 0.1822 0.1736 0.4515 [4 per cell]
Br 0.2711 0.7376 0.4340 [4 per cell]
Br 0.3934 0.0436 0.2815 [4 per cell]